(1)
This entry pairs a crystal structure of Fe3H6C6N6Cl8 with its computed powder diffraction line list. Radiation: a wavelength of 1.5418 Å. Structure: a crystal structure in OQMD, relaxed with PBE.
Lines closer than 0.1° are merged.

Structure:
Cell: 9.918 9.918 6.134 Å, 90.00 90.00 120.00°
Fractional coordinates of all 29 atoms:
Fe1 0.000 0.000 0.000
Fe2 0.333 0.667 0.141
Fe3 0.667 0.333 0.859
H1 0.086 0.390 0.649
H2 0.304 0.914 0.649
H3 0.390 0.304 0.351
H4 0.610 0.696 0.649
H5 0.696 0.086 0.351
H6 0.914 0.610 0.351
C1 0.063 0.285 0.735
C2 0.222 0.937 0.735
C3 0.285 0.222 0.265
C4 0.715 0.778 0.735
C5 0.778 0.063 0.265
C6 0.937 0.715 0.265
N1 0.039 0.173 0.826
N2 0.135 0.961 0.826
N3 0.173 0.135 0.174
N4 0.827 0.865 0.826
N5 0.865 0.039 0.174
N6 0.961 0.827 0.174
Cl1 0.106 0.479 0.256
Cl2 0.333 0.667 0.781
Cl3 0.373 0.894 0.256
Cl4 0.479 0.373 0.744
Cl5 0.521 0.627 0.256
Cl6 0.627 0.106 0.744
Cl7 0.667 0.333 0.219
Cl8 0.894 0.521 0.744

Main lines, in order of falling intensity (2θ = 10–80°):
two_theta  I_rel  h k l
17.89  100  1 1 0
31.19  92  2 1 1
23.06  65  2 -1 1
17.77  45  0 1 1
48.57  43  1 4 0
40.46  36  3 -2 2
27.47  35  2 1 0
14.44  33  0 0 1
52.92  33  3 -2 3
29.11  29  0 0 2

(2)
This entry pairs a crystal structure of Gd4C2Cl3 with its computed powder diffraction line list. Radiation: a wavelength of 1.5418 Å. Structure: a crystal structure in OQMD, relaxed with PBE.
Lines closer than 0.1° are merged.

Structure:
Cell: 10.646 3.688 19.941 Å, 90.00 90.00 90.00°
Fractional coordinates of all 36 atoms:
Gd1 0.101 0.250 0.167
Gd2 0.124 0.250 0.335
Gd3 0.137 0.250 0.756
Gd4 0.139 0.250 0.927
Gd5 0.361 0.750 0.427
Gd6 0.363 0.750 0.256
Gd7 0.376 0.750 0.835
Gd8 0.399 0.750 0.667
Gd9 0.601 0.250 0.333
Gd10 0.624 0.250 0.165
Gd11 0.637 0.250 0.744
Gd12 0.639 0.250 0.573
Gd13 0.861 0.750 0.073
Gd14 0.863 0.750 0.244
Gd15 0.876 0.750 0.665
Gd16 0.899 0.750 0.833
C1 0.111 0.750 0.250
C2 0.136 0.750 0.848
C3 0.364 0.250 0.348
C4 0.389 0.250 0.750
C5 0.611 0.750 0.250
C6 0.636 0.750 0.652
C7 0.864 0.250 0.152
C8 0.889 0.250 0.750
Cl1 0.113 0.750 0.445
Cl2 0.121 0.750 0.047
Cl3 0.139 0.750 0.646
Cl4 0.361 0.250 0.146
Cl5 0.379 0.250 0.547
Cl6 0.387 0.250 0.945
Cl7 0.613 0.750 0.055
Cl8 0.621 0.750 0.453
Cl9 0.639 0.750 0.854
Cl10 0.861 0.250 0.354
Cl11 0.879 0.250 0.953
Cl12 0.887 0.250 0.555

Main lines, in order of falling intensity (2θ = 10–80°):
two_theta  I_rel  h k l
33.08  100  0 1 5
29.46  69  2 1 0
47.93  60  4 1 5
27.95  55  2 0 5
33.67  52  4 0 0
35.75  37  2 0 7
30.83  32  2 1 2
57.71  24  6 1 0
63.89  24  2 1 12
12.16  24  1 0 2